KPrNb2O6: computed X-ray powder pattern (a wavelength of 1.5418 Å), based on a DFT-relaxed cell (GGA-PBE, the Materials Project).

Main lines, by angle (2θ from 10° to 80°):
2θ 18.9, I 19
2θ 31.1, I 100
2θ 36.6, I 11
2θ 44.5, I 34
2θ 48.8, I 5
2θ 55.3, I 39
2θ 59.0, I 4
2θ 64.8, I 20
2θ 68.2, I 4
2θ 73.6, I 17

Structure:
Cell: 8.139 8.139 8.139 Å, 90.00 90.00 90.00°
Space group Fm-3m (No. 225)
One atom of each set of equivalent atoms:
K: 0.000 0.000 0.000
Pr: 0.000 0.000 0.500
Nb: 0.250 0.250 0.250
O: 0.000 0.250 0.250